Record 1
The following is a theoretical powder XRD pattern of Ti7TlN2. It was derived from a DFT-relaxed cell (GGA-PBE, Alexandria), using Cu Ka.
Lines closer than 0.1° are merged.

Structural model:
Cell: 6.512 6.512 4.070 Å, 90.00 90.00 116.37°
Fractional positions:
Ti 0.000 0.000 0.000
Ti 0.157 0.432 0.000
Ti 0.220 0.780 0.500
Ti 0.432 0.157 0.000
Ti 0.568 0.843 0.000
Ti 0.780 0.220 0.500
Ti 0.843 0.568 0.000
Tl 0.500 0.500 0.500
N 0.205 0.795 0.000
N 0.795 0.205 0.000

Peak list (6 most intense, 2θ from 5° to 70°, in order of falling intensity)
- d 2.539, I 100
- d 5.834, I 90
- d 3.338, I 82
- d 2.624, I 77
- d 2.154, I 68
- d 2.288, I 54



Record 2
The following is a theoretical powder XRD pattern of Be2CrTe. It was derived from a DFT-relaxed cell (GGA-PBE, Alexandria), using Cu Ka.
Lines closer than 0.1° are merged.

Structural model:
Cell: 3.929 8.206 4.029 Å, 90.00 90.00 90.00°
Fractional positions:
Be 0.000 0.199 0.000
Be 0.000 0.801 0.000
Be 0.500 0.301 0.000
Be 0.500 0.699 0.000
Cr 0.000 0.500 0.000
Cr 0.500 0.000 0.000
Te 0.000 0.000 0.500
Te 0.500 0.500 0.500

Peak list (6 most intense, 2θ from 5° to 70°, in order of falling intensity)
- d 2.661, I 100
- d 4.103, I 72
- d 1.962, I 58
- d 1.418, I 19
- d 3.544, I 19
- d 1.808, I 14